# 1
For Sm3Ho5Tm3, a DFT-relaxed cell (GGA-PBE, Alexandria) gives the calculated X-ray diffraction stick pattern in this record (copper Kα).
No peak broadening, texture or thermal motion is included.

The 10 most intense peaks (10° ≤ 2θ ≤ 80°), by intensity:
d 2.666, 2θ = 33.6°, rel. 100, hkl 3 1 0; d 3.206, 2θ = 27.8°, rel. 94, hkl 3 0 0; d 2.906, 2θ = 30.8°, rel. 91, hkl 1 1 1; d 2.487, 2θ = 36.1°, rel. 74, hkl 2 1 1; d 2.152, 2θ = 42.0°, rel. 73, hkl 2 2 1; d 2.778, 2θ = 32.2°, rel. 55, hkl 2 2 0; d 1.851, 2θ = 49.2°, rel. 48, hkl 3 2 1; d 1.450, 2θ = 64.2°, rel. 40, hkl 6 0 1; d 3.633, 2θ = 24.5°, rel. 37, hkl 2 1 0; d 1.437, 2θ = 64.9°, rel. 30, hkl 3 1 2

Cell and atoms:
Cell: 11.0993 11.0993 3.4107 Å, 90.00 90.00 120.00°
Space group P-62m (No. 189)
Unique sites:
1 Sm 0.0000 0.6599 0.0000 (multiplicity 3)
2 Ho 0.0000 0.1600 0.0000 (multiplicity 3)
3 Ho 0.3333 0.6667 0.0000 (multiplicity 2)
4 Tm 0.0000 0.4067 0.5000 (multiplicity 3)



# 2
For SmHo8Tm5, a DFT-relaxed cell (GGA-PBE, Alexandria) gives the calculated X-ray diffraction stick pattern in this record (copper Kα).
No peak broadening, texture or thermal motion is included.

The 10 most intense peaks (10° ≤ 2θ ≤ 80°), by intensity:
d 2.630, 2θ = 34.1°, rel. 100, hkl 2 1 3; d 2.981, 2θ = 30.0°, rel. 71, hkl 1 3 0; d 3.000, 2θ = 29.8°, rel. 66, hkl 3 0 1; d 3.169, 2θ = 28.2°, rel. 54, hkl 1 0 3; d 2.531, 2θ = 35.5°, rel. 51, hkl 3 2 1; d 2.567, 2θ = 35.0°, rel. 42, hkl 1 3 2; d 2.781, 2θ = 32.2°, rel. 23, hkl 2 2 2; d 1.465, 2θ = 63.5°, rel. 20, hkl 1 3 6; d 1.618, 2θ = 56.9°, rel. 18, hkl 4 2 4; d 1.491, 2θ = 62.3°, rel. 17, hkl 2 6 0

Cell and atoms:
Cell: 9.4258 9.4258 10.0950 Å, 90.00 90.00 90.00°
Space group I-4 (No. 82)
Unique sites:
1 Sm 0.0000 0.0000 0.0000 (multiplicity 2)
2 Ho 0.0705 0.1763 0.6505 (multiplicity 8)
3 Ho 0.0897 0.3285 0.9976 (multiplicity 8)
4 Tm 0.0000 0.5000 0.7500 (multiplicity 2)
5 Tm 0.1130 0.2915 0.3236 (multiplicity 8)



# 3
For Sm8Ho4Tm3, a DFT-relaxed cell (GGA-PBE, Alexandria) gives the calculated X-ray diffraction stick pattern in this record (copper Kα).
No peak broadening, texture or thermal motion is included.

The 10 most intense peaks (10° ≤ 2θ ≤ 80°), by intensity:
d 3.021, 2θ = 29.6°, rel. 100, hkl 0 4 0; d 3.008, 2θ = 29.7°, rel. 98, hkl 4 0 0; d 2.132, 2θ = 42.4°, rel. 63, hkl 4 4 0; d 2.973, 2θ = 30.1°, rel. 59, hkl 2 2 -2; d 2.705, 2θ = 33.1°, rel. 47, hkl 0 2 2; d 2.625, 2θ = 34.2°, rel. 45, hkl 4 2 -2; d 3.027, 2θ = 29.5°, rel. 42, hkl 0 0 2; d 2.915, 2θ = 30.7°, rel. 29, hkl 4 0 -2; d 3.413, 2θ = 26.1°, rel. 27, hkl 2 0 -2; d 2.138, 2θ = 42.3°, rel. 22, hkl 0 4 2

Cell and atoms:
Cell: 13.5860 12.0854 6.8334 Å, 90.00 117.66 90.00°
Space group C2/m (No. 12)
Unique sites:
1 Sm 0.0000 0.2039 0.0000 (multiplicity 4)
2 Sm 0.0000 0.2526 0.5000 (multiplicity 4)
3 Sm 0.2021 0.0000 0.1715 (multiplicity 4)
4 Sm 0.2445 0.5000 0.2917 (multiplicity 4)
5 Ho 0.0000 0.5000 0.0000 (multiplicity 2)
6 Ho 0.0000 0.5000 0.5000 (multiplicity 2)
7 Ho 0.2500 0.2500 0.0000 (multiplicity 4)
8 Tm 0.0000 0.0000 0.5000 (multiplicity 2)
9 Tm 0.2500 0.2500 0.5000 (multiplicity 4)



# 4
For Sm2Ho8Tm3, a DFT-relaxed cell (GGA-PBE, Alexandria) gives the calculated X-ray diffraction stick pattern in this record (copper Kα).
No peak broadening, texture or thermal motion is included.

The 10 most intense peaks (10° ≤ 2θ ≤ 80°), by intensity:
d 2.848, 2θ = 31.4°, rel. 100, hkl 0 4 1; d 2.638, 2θ = 34.0°, rel. 92, hkl 3 1 1; d 2.788, 2θ = 32.1°, rel. 81, hkl 3 5 0; d 3.000, 2θ = 29.8°, rel. 61, hkl 1 3 1; d 2.896, 2θ = 30.9°, rel. 50, hkl 4 2 0; d 2.678, 2θ = 33.5°, rel. 47, hkl 1 7 0; d 1.767, 2θ = 51.7°, rel. 29, hkl 0 0 2; d 1.493, 2θ = 62.2°, rel. 24, hkl 3 5 2; d 1.663, 2θ = 55.2°, rel. 23, hkl 4 8 1; d 1.475, 2θ = 63.0°, rel. 21, hkl 1 7 2

Cell and atoms:
Cell: 12.1508 19.2167 3.5356 Å, 90.00 90.00 90.00°
Space group Pbam (No. 55)
Unique sites:
1 Sm 0.1663 0.1295 0.0000 (multiplicity 4)
2 Ho 0.0159 0.5834 0.0000 (multiplicity 4)
3 Ho 0.1228 0.8630 0.0000 (multiplicity 4)
4 Ho 0.1488 0.2983 0.5000 (multiplicity 4)
5 Ho 0.2104 0.4816 0.5000 (multiplicity 4)
6 Tm 0.0000 0.0000 0.5000 (multiplicity 2)
7 Tm 0.1248 0.7115 0.5000 (multiplicity 4)



# 5
For Sm2HoTm12, a DFT-relaxed cell (GGA-PBE, Alexandria) gives the calculated X-ray diffraction stick pattern in this record (copper Kα).
No peak broadening, texture or thermal motion is included.

The 10 most intense peaks (10° ≤ 2θ ≤ 80°), by intensity:
d 2.846, 2θ = 31.4°, rel. 100, hkl 2 2 2; d 2.768, 2θ = 32.3°, rel. 80, hkl 0 4 0; d 2.893, 2θ = 30.9°, rel. 64, hkl 0 2 7; d 2.597, 2θ = 34.5°, rel. 53, hkl 2 2 4; d 2.737, 2θ = 32.7°, rel. 50, hkl 2 0 5; d 2.617, 2θ = 34.3°, rel. 41, hkl 0 2 8; d 1.947, 2θ = 46.7°, rel. 30, hkl 2 4 5; d 1.492, 2θ = 62.2°, rel. 26, hkl 4 4 -1; d 2.971, 2θ = 30.1°, rel. 22, hkl 0 0 8; d 1.771, 2θ = 51.6°, rel. 22, hkl 4 0 -1

Cell and atoms:
Cell: 7.0827 11.0731 23.8181 Å, 90.00 94.25 90.00°
Space group C2/m (No. 12)
Unique sites:
1 Sm 0.0690 0.0000 0.2802 (multiplicity 4)
2 Sm 0.0693 0.5000 0.2806 (multiplicity 4)
3 Ho 0.2500 0.0000 0.0000 (multiplicity 4)
4 Tm 0.0163 0.2504 0.0662 (multiplicity 8)
5 Tm 0.0327 0.0000 0.1343 (multiplicity 4)
6 Tm 0.0328 0.5000 0.1348 (multiplicity 4)
7 Tm 0.1110 0.2503 0.4450 (multiplicity 8)
8 Tm 0.1433 0.0000 0.5729 (multiplicity 4)
9 Tm 0.1438 0.5000 0.5728 (multiplicity 4)
10 Tm 0.1681 0.2500 0.6699 (multiplicity 8)
11 Tm 0.2031 0.2500 0.8085 (multiplicity 8)



# 6
For Sm5Ho2Tm3, a DFT-relaxed cell (GGA-PBE, Alexandria) gives the calculated X-ray diffraction stick pattern in this record (copper Kα).
No peak broadening, texture or thermal motion is included.

The 10 most intense peaks (10° ≤ 2θ ≤ 80°), by intensity:
d 2.872, 2θ = 31.1°, rel. 100, hkl 0 4 2; d 2.739, 2θ = 32.7°, rel. 81, hkl 3 2 1; d 2.719, 2θ = 32.9°, rel. 43, hkl 0 0 4; d 3.545, 2θ = 25.1°, rel. 36, hkl 2 0 2; d 2.231, 2θ = 40.4°, rel. 35, hkl 3 2 3; d 1.802, 2θ = 50.7°, rel. 18, hkl 3 6 1; d 4.674, 2θ = 19.0°, rel. 18, hkl 2 0 0; d 1.598, 2θ = 57.7°, rel. 18, hkl 0 4 6; d 1.725, 2θ = 53.1°, rel. 16, hkl 3 2 5; d 1.691, 2θ = 54.3°, rel. 15, hkl 0 8 0

Cell and atoms:
Cell: 9.3478 13.5293 10.8768 Å, 90.00 90.00 90.00°
Space group Ibam (No. 72)
Unique sites:
1 Sm 0.0000 0.0000 0.2500 (multiplicity 4)
2 Sm 0.0000 0.2525 0.2500 (multiplicity 8)
3 Sm 0.1017 0.1272 0.0000 (multiplicity 8)
4 Ho 0.0886 0.3797 0.5000 (multiplicity 8)
5 Tm 0.0000 0.5000 0.2500 (multiplicity 4)
6 Tm 0.2485 0.1242 0.5000 (multiplicity 8)



# 7
For Sm5Ho5Tm2, a DFT-relaxed cell (GGA-PBE, Alexandria) gives the calculated X-ray diffraction stick pattern in this record (copper Kα).
No peak broadening, texture or thermal motion is included.

The 9 most intense peaks (10° ≤ 2θ ≤ 80°), by intensity:
d 2.907, 2θ = 30.8°, rel. 100, hkl 3 1 1; d 1.780, 2θ = 51.3°, rel. 36, hkl 6 0 2; d 2.518, 2θ = 35.7°, rel. 34, hkl 0 0 4; d 1.517, 2θ = 61.1°, rel. 29, hkl 3 3 1; d 2.515, 2θ = 35.7°, rel. 17, hkl 0 2 0; d 1.520, 2θ = 61.0°, rel. 14, hkl 3 1 5; d 1.453, 2θ = 64.1°, rel. 12, hkl 6 2 2; d 1.257, 2θ = 75.6°, rel. 4, hkl 0 4 0; d 1.261, 2θ = 75.4°, rel. 2, hkl 0 0 8

Cell and atoms:
Cell: 15.0904 5.0296 11.2748 Å, 90.00 116.54 90.00°
Space group C2/m (No. 12)
Unique sites:
1 Sm 0.0000 0.0000 0.0000 (multiplicity 2)
2 Sm 0.0834 0.0000 0.7503 (multiplicity 4)
3 Sm 0.1661 0.0000 0.4995 (multiplicity 4)
4 Ho 0.0000 0.5000 0.5000 (multiplicity 2)
5 Ho 0.1673 0.5000 0.0007 (multiplicity 4)
6 Ho 0.2488 0.0000 0.2481 (multiplicity 4)
7 Tm 0.0835 0.5000 0.2494 (multiplicity 4)



# 8
For Sm4Ho4Tm, a DFT-relaxed cell (GGA-PBE, Alexandria) gives the calculated X-ray diffraction stick pattern in this record (copper Kα).
No peak broadening, texture or thermal motion is included.

The 7 most intense peaks (10° ≤ 2θ ≤ 80°), by intensity:
d 2.912, 2θ = 30.7°, rel. 100, hkl 3 0 1; d 2.522, 2θ = 35.6°, rel. 51, hkl 3 3 0; d 1.521, 2θ = 60.9°, rel. 43, hkl 6 3 1; d 1.783, 2θ = 51.2°, rel. 36, hkl 6 0 0; d 1.456, 2θ = 63.9°, rel. 12, hkl 6 0 2; d 1.262, 2θ = 75.3°, rel. 4, hkl 6 6 0; d 1.259, 2θ = 75.5°, rel. 2, hkl 0 0 4

Cell and atoms:
Cell: 10.7057 10.7057 5.0377 Å, 90.00 90.00 90.00°
Space group I4/mmm (No. 139)
Unique sites:
1 Sm 0.0000 0.3313 0.0000 (multiplicity 8)
2 Ho 0.1658 0.1658 0.5000 (multiplicity 8)
3 Tm 0.0000 0.0000 0.0000 (multiplicity 2)



# 9
For Sm2HoTm4, a DFT-relaxed cell (GGA-PBE, Alexandria) gives the calculated X-ray diffraction stick pattern in this record (copper Kα).
No peak broadening, texture or thermal motion is included.

The 10 most intense peaks (10° ≤ 2θ ≤ 80°), by intensity:
d 2.750, 2θ = 32.6°, rel. 100, hkl 1 0 10; d 2.690, 2θ = 33.3°, rel. 100, hkl 0 1 11; d 2.825, 2θ = 31.7°, rel. 54, hkl 0 0 21; d 1.513, 2θ = 61.3°, rel. 49, hkl 1 1 21; d 1.792, 2θ = 51.0°, rel. 43, hkl 1 1 0; d 3.099, 2θ = 28.8°, rel. 34, hkl 1 0 1; d 1.591, 2θ = 58.0°, rel. 21, hkl 0 1 32; d 1.629, 2θ = 56.5°, rel. 19, hkl 1 0 31; d 1.491, 2θ = 62.3°, rel. 17, hkl 2 0 11; d 1.501, 2θ = 61.8°, rel. 16, hkl 0 2 10

Cell and atoms:
Cell: 3.5830 3.5830 59.3168 Å, 90.00 90.00 120.00°
Space group R3m (No. 160, hexagonal axes)
Unique sites:
1 Sm 0.0000 0.0000 0.0000 (multiplicity 3)
2 Sm 0.0000 0.0000 0.0966 (multiplicity 3)
3 Ho 0.0000 0.0000 0.1919 (multiplicity 3)
4 Tm 0.0000 0.0000 0.2851 (multiplicity 3)
5 Tm 0.0000 0.0000 0.3819 (multiplicity 3)
6 Tm 0.0000 0.0000 0.8115 (multiplicity 3)
7 Tm 0.0000 0.0000 0.9055 (multiplicity 3)



# 10
For Sm2Ho12Tm, a DFT-relaxed cell (GGA-PBE, Alexandria) gives the calculated X-ray diffraction stick pattern in this record (copper Kα).
No peak broadening, texture or thermal motion is included.

The 10 most intense peaks (10° ≤ 2θ ≤ 80°), by intensity:
d 2.845, 2θ = 31.4°, rel. 100, hkl 2 0 4; d 3.107, 2θ = 28.7°, rel. 92, hkl 2 0 2; d 2.271, 2θ = 39.7°, rel. 86, hkl 2 2 0; d 2.773, 2θ = 32.3°, rel. 69, hkl 1 1 7; d 2.722, 2θ = 32.9°, rel. 67, hkl 0 0 9; d 2.989, 2θ = 29.9°, rel. 58, hkl 2 0 3; d 2.686, 2θ = 33.4°, rel. 42, hkl 2 0 5; d 1.744, 2θ = 52.5°, rel. 42, hkl 2 2 9; d 4.259, 2θ = 20.9°, rel. 41, hkl 1 1 2; d 1.693, 2θ = 54.2°, rel. 37, hkl 3 1 8

Cell and atoms:
Cell: 6.4240 6.4240 24.5012 Å, 90.00 90.00 90.00°
Space group P4/nbm (No. 125, origin choice 2)
Unique sites:
1 Sm 0.2500 0.7500 0.2422 (multiplicity 4)
2 Ho 0.0004 0.9996 0.3892 (multiplicity 8)
3 Ho 0.0811 0.5811 0.0613 (multiplicity 8)
4 Ho 0.2500 0.2500 0.1634 (multiplicity 4)
5 Ho 0.2500 0.2500 0.2889 (multiplicity 4)
6 Tm 0.2500 0.7500 0.5000 (multiplicity 2)



# 11
For SmHo3Tm5, a DFT-relaxed cell (GGA-PBE, Alexandria) gives the calculated X-ray diffraction stick pattern in this record (copper Kα).
No peak broadening, texture or thermal motion is included.

The 10 most intense peaks (10° ≤ 2θ ≤ 80°), by intensity:
d 2.876, 2θ = 31.1°, rel. 100, hkl 0 6 0; d 2.672, 2θ = 33.5°, rel. 41, hkl 2 2 2; d 3.003, 2θ = 29.7°, rel. 37, hkl 0 1 3; d 2.286, 2θ = 39.4°, rel. 22, hkl 0 5 3; d 1.566, 2θ = 59.0°, rel. 19, hkl 2 3 5; d 2.355, 2θ = 38.2°, rel. 17, hkl 2 4 2; d 1.712, 2θ = 53.5°, rel. 12, hkl 2 8 2; d 1.514, 2θ = 61.2°, rel. 11, hkl 4 6 0; d 1.780, 2θ = 51.3°, rel. 11, hkl 4 0 0; d 2.747, 2θ = 32.6°, rel. 11, hkl 2 4 0

Cell and atoms:
Cell: 7.1218 17.2651 9.1491 Å, 90.00 90.00 90.00°
Space group Imma (No. 74)
Unique sites:
1 Sm 0.0000 0.2500 0.0491 (multiplicity 4)
2 Ho 0.0000 0.0621 0.7480 (multiplicity 8)
3 Ho 0.2500 0.2500 0.7500 (multiplicity 4)
4 Tm 0.0000 0.2500 0.4080 (multiplicity 4)
5 Tm 0.2480 0.0871 0.0693 (multiplicity 16)